# 1
The following is a simulated powder XRD pattern of AcCeGe. It was derived from a crystal structure in Alexandria, relaxed with PBE, using Cu Kα X-rays.
Neutral-atom scattering factors, no anomalous dispersion.

Structure:
a b c (Å): 5.558 5.542 11.557
angles (deg): 90.00 92.23 90.00
Space group C2/m (No. 12)
One atom of each set of equivalent atoms:
Ac 0.239 0.000 0.361 x4
Ce 0.218 0.000 0.071 x4
Ge 0.222 0.500 0.193 x4

Most intense lines, 2θ from 10° to 90°, in order of falling intensity:
| h k l | d (Å) | 2θ/deg | Rel. int. |
| --- | --- | --- | --- |
| 0 2 0 | 2.774 | 32.27 | 100 |
| 1 1 -3 | 2.786 | 32.13 | 52 |
| 2 2 0 | 1.962 | 46.29 | 36 |
| 1 1 -1 | 3.746 | 23.75 | 34 |
| 1 1 4 | 2.295 | 39.25 | 32 |
| 1 1 3 | 2.711 | 33.05 | 31 |
| 1 1 2 | 3.204 | 27.84 | 27 |
| 1 1 -4 | 2.356 | 38.19 | 24 |
| 1 1 1 | 3.684 | 24.16 | 24 |
| 0 0 3 | 3.849 | 23.11 | 16 |

# 2
The following is a simulated powder XRD pattern of Ac12CeGe7. It was derived from a crystal structure in Alexandria, relaxed with PBE, using Cu Kα X-rays.
Neutral-atom scattering factors, no anomalous dispersion.

Structure:
a b c (Å): 15.9800 15.9800 10.8764
angles (deg): 90.00 90.00 120.00
Space group R-3 (No. 148, hexagonal axes)
One atom of each set of equivalent atoms:
Ac 0.0255 0.5891 0.1636 x18
Ac 0.0491 0.1778 0.8298 x18
Ce 0.0000 0.0000 0.5000 x3
Ge 0.0000 0.0000 0.0000 x3
Ge 0.0493 0.1761 0.3391 x18

Most intense lines, 2θ from 10° to 90°, in order of falling intensity:
| h k l | d (Å) | 2θ/deg | Rel. int. |
| --- | --- | --- | --- |
| 3 1 2 | 3.136 | 28.46 | 100 |
| 0 0 3 | 3.621 | 24.59 | 89 |
| 2 5 0 | 2.217 | 40.69 | 78 |
| 6 2 1 | 1.891 | 48.12 | 46 |
| 5 6 2 | 1.402 | 66.69 | 37 |
| 8 -6 2 | 1.810 | 50.40 | 28 |
| 9 3 0 | 1.280 | 74.08 | 20 |
| 6 2 4 | 1.568 | 58.90 | 13 |
| 9 3 3 | 1.207 | 79.41 | 11 |
| 8 -6 5 | 1.440 | 64.75 | 10 |

# 3
The following is a simulated powder XRD pattern of AcCe2Ge. It was derived from a crystal structure in Alexandria, relaxed with PBE, using Cu Kα X-rays.
Neutral-atom scattering factors, no anomalous dispersion.

Structure:
a b c (Å): 4.0130 4.0130 28.6655
angles (deg): 90.00 90.00 120.00
Space group R3m (No. 160, hexagonal axes)
One atom of each set of equivalent atoms:
Ac 0.0000 0.0000 0.0000 x3
Ce 0.0000 0.0000 0.5607 x3
Ce 0.0000 0.0000 0.7699 x3
Ge 0.0000 0.0000 0.1651 x3

Most intense lines, 2θ from 10° to 90°, in order of falling intensity:
| h k l | d (Å) | 2θ/deg | Rel. int. |
| --- | --- | --- | --- |
| 0 1 5 | 2.972 | 30.07 | 100 |
| 1 0 4 | 3.127 | 28.54 | 54 |
| 1 1 0 | 2.006 | 45.19 | 45 |
| 0 0 9 | 3.185 | 28.01 | 27 |
| 1 1 9 | 1.698 | 54.01 | 27 |
| 1 0 7 | 2.650 | 33.83 | 26 |
| 1 0 1 | 3.450 | 25.82 | 22 |
| 0 1 2 | 3.377 | 26.39 | 22 |
| 1 0 13 | 1.862 | 48.92 | 19 |
| 2 0 5 | 1.663 | 55.24 | 18 |

# 4
The following is a simulated powder XRD pattern of AcCeGe4. It was derived from a crystal structure in Alexandria, relaxed with PBE, using Cu Kα X-rays.
Neutral-atom scattering factors, no anomalous dispersion.

Structure:
a b c (Å): 4.127 8.274 8.643
angles (deg): 90.00 90.00 90.00
Space group Immm (No. 71)
One atom of each set of equivalent atoms:
Ac 0.000 0.000 0.000 x2
Ce 0.000 0.000 0.500 x2
Ge 0.000 0.340 0.235 x8

Most intense lines, 2θ from 10° to 90°, in order of falling intensity:
| h k l | d (Å) | 2θ/deg | Rel. int. |
| --- | --- | --- | --- |
| 1 1 2 | 2.808 | 31.87 | 100 |
| 0 2 2 | 2.989 | 29.90 | 52 |
| 1 3 0 | 2.293 | 39.29 | 46 |
| 1 3 4 | 1.573 | 58.71 | 27 |
| 0 4 2 | 1.866 | 48.81 | 22 |
| 2 2 2 | 1.698 | 54.00 | 20 |
| 0 0 4 | 2.161 | 41.80 | 18 |
| 2 0 0 | 2.064 | 43.88 | 17 |
| 1 1 0 | 3.693 | 24.10 | 14 |
| 0 2 0 | 4.137 | 21.48 | 13 |

# 5
The following is a simulated powder XRD pattern of AcCeMgGe2. It was derived from a crystal structure in Alexandria, relaxed with PBE, using Cu Kα X-rays.
Neutral-atom scattering factors, no anomalous dispersion.

Structure:
a b c (Å): 4.611 4.611 12.554
angles (deg): 90.00 90.00 90.00
Space group I-4m2 (No. 119)
One atom of each set of equivalent atoms:
Ac 0.000 0.000 0.000 x2
Ce 0.000 0.500 0.250 x2
Mg 0.000 0.500 0.750 x2
Ge 0.000 0.000 0.395 x4

Most intense lines, 2θ from 10° to 90°, in order of falling intensity:
| h k l | d (Å) | 2θ/deg | Rel. int. |
| --- | --- | --- | --- |
| 1 1 2 | 2.894 | 30.90 | 100 |
| 1 0 3 | 3.099 | 28.81 | 61 |
| 2 0 0 | 2.306 | 39.07 | 43 |
| 1 0 5 | 2.205 | 40.93 | 39 |
| 1 0 1 | 4.328 | 20.52 | 34 |
| 2 1 5 | 1.594 | 57.86 | 29 |
| 2 1 3 | 1.850 | 49.26 | 28 |
| 3 1 2 | 1.420 | 65.74 | 23 |
| 1 1 0 | 3.261 | 27.35 | 16 |
| 2 2 0 | 1.630 | 56.44 | 15 |

# 6
The following is a simulated powder XRD pattern of AcCeScGe2. It was derived from a crystal structure in Alexandria, relaxed with PBE, using Cu Kα X-rays.
Neutral-atom scattering factors, no anomalous dispersion.

Structure:
a b c (Å): 4.535 4.535 12.840
angles (deg): 90.00 90.00 90.00
Space group I-4m2 (No. 119)
One atom of each set of equivalent atoms:
Ac 0.000 0.000 0.000 x2
Ce 0.000 0.500 0.750 x2
Sc 0.000 0.500 0.250 x2
Ge 0.000 0.000 0.398 x4

Most intense lines, 2θ from 10° to 90°, in order of falling intensity:
| h k l | d (Å) | 2θ/deg | Rel. int. |
| --- | --- | --- | --- |
| 1 1 2 | 2.869 | 31.18 | 100 |
| 1 0 3 | 3.112 | 28.68 | 52 |
| 2 0 0 | 2.267 | 39.76 | 42 |
| 1 0 5 | 2.235 | 40.36 | 37 |
| 2 1 5 | 1.591 | 57.95 | 26 |
| 1 0 1 | 4.276 | 20.77 | 25 |
| 0 0 4 | 3.208 | 27.81 | 24 |
| 2 1 3 | 1.833 | 49.75 | 23 |
| 3 1 2 | 1.399 | 66.85 | 22 |
| 2 2 0 | 1.604 | 57.47 | 18 |